Entry 1:
The following is a calculated powder X-ray diffraction pattern of TlCdH6Ir2. It was derived from a crystal structure in Alexandria, relaxed with GGA-PBE, using CuKα.
Peak positions follow from Bragg's law for the DFT cell and can differ from measured ones.

Most intense lines, 2θ from 5° to 70°, by angle:
| Position (°2θ) | intensity |
| --- | --- |
| 14.2 | 35.8 |
| 20.6 | 95.7 |
| 28.7 | 41.1 |
| 29.8 | 74.2 |
| 33.9 | 64.9 |
| 39.4 | 79.4 |
| 42.4 | 100.0 |
| 52.1 | 46.0 |

```
data_TlCdH6Ir2
_chemical_formula_sum 'Tl4 Cd4 H24 Ir8'
_space_group_name_H-M_alt 'C 1 2/c 1'
_space_group_IT_number 15
_cell_length_a 7.540
_cell_length_b 12.781
_cell_length_c 4.827
_cell_angle_alpha 90.00
_cell_angle_beta 109.06
_cell_angle_gamma 90.00
loop_
_space_group_symop_operation_xyz
'x,y,z'
'-x,-y,-z'
'-x,y,-z+1/2'
'x,-y,z+1/2'
'x+1/2,y+1/2,z'
'-x+1/2,-y+1/2,-z'
'-x+1/2,y+1/2,-z+1/2'
'x+1/2,-y+1/2,z+1/2'
loop_
_atom_site_label
_atom_site_type_symbol
_atom_site_fract_x
_atom_site_fract_y
_atom_site_fract_z
Tl1 Tl 0.000 0.218 0.250
Cd1 Cd 0.000 0.403 0.750
H1 H 0.061 0.069 0.561
H2 H 0.213 0.007 0.340
H3 H 0.214 0.173 0.864
Ir1 Ir 0.219 0.405 0.345
```

***

Entry 2:
The following is a calculated powder X-ray diffraction pattern of MnTe2Pd7. It was derived from a crystal structure in Alexandria, relaxed with GGA-PBE, using CuKα.
Peak positions follow from Bragg's law for the DFT cell and can differ from measured ones.

Most intense lines, 2θ from 5° to 70°, by angle:
| Position (°2θ) | intensity |
| --- | --- |
| 22.5 | 12.5 |
| 25.2 | 11.6 |
| 29.8 | 5.5 |
| 39.8 | 100.0 |
| 45.2 | 34.8 |
| 48.5 | 13.9 |
| 65.8 | 11.0 |
| 68.4 | 19.3 |

```
data_MnTe2Pd7
_chemical_formula_sum 'Mn2 Te4 Pd14'
_space_group_name_H-M_alt 'I 4/m m m'
_space_group_IT_number 139
_space_group_name_Hall '-I 4 2'
_cell_length_a 4.013
_cell_length_b 4.013
_cell_length_c 22.528
_cell_angle_alpha 90.00
_cell_angle_beta 90.00
_cell_angle_gamma 90.00
loop_
_atom_site_label
_atom_site_type_symbol
_atom_site_fract_x
_atom_site_fract_y
_atom_site_fract_z
Mn1 Mn 0.000 0.000 0.000
Te1 Te 0.000 0.000 0.334
Pd1 Pd 0.000 0.000 0.500
Pd2 Pd 0.000 0.500 0.086
Pd3 Pd 0.000 0.500 0.250
```

***

Entry 3:
The following is a calculated powder X-ray diffraction pattern of SrTeS2. It was derived from a crystal structure in Alexandria, relaxed with GGA-PBE, using CuKα.
Peak positions follow from Bragg's law for the DFT cell and can differ from measured ones.

Most intense lines, 2θ from 5° to 70°, by angle:
| Position (°2θ) | intensity |
| --- | --- |
| 23.6 | 50.5 |
| 25.5 | 17.1 |
| 27.2 | 100.0 |
| 32.9 | 24.9 |
| 34.2 | 31.0 |
| 36.2 | 19.8 |
| 43.8 | 27.6 |
| 44.1 | 15.9 |

```
data_SrTeS2
_chemical_formula_sum 'Sr2 Te2 S4'
_space_group_name_H-M_alt 'P -1'
_space_group_IT_number 2
_cell_length_a 4.107
_cell_length_b 7.536
_cell_length_c 7.894
_cell_angle_alpha 89.95
_cell_angle_beta 89.79
_cell_angle_gamma 90.00
loop_
_space_group_symop_operation_xyz
'x,y,z'
'-x,-y,-z'
loop_
_atom_site_label
_atom_site_type_symbol
_atom_site_fract_x
_atom_site_fract_y
_atom_site_fract_z
Sr1 Sr 0.001 0.250 0.348
Te1 Te 0.500 0.250 0.777
S1 S 0.497 0.750 0.922
S2 S 0.500 0.000 0.500
S3 S 0.500 0.500 0.500
```

***

> What is the formula in the second record?

MnTe2Pd7

***

> Which formula does entry 1 have?

TlCdH6Ir2